Structure and calculated powder X-ray diffraction pattern of BiPt (a cell relaxed with GGA-PBE; Cu Kα (weighted mean of Kα1 and Kα2)).
Neutral-atom scattering factors, no anomalous dispersion.

Largest 10 diffraction maxima, sorted by position, 2θ = 10–90°:
- (0 0 1), d = 6.035 Å, I = 26
- (1 0 0), d = 3.760 Å, I = 18
- (1 0 2), d = 2.624 Å, I = 100
- (1 1 -1), d = 2.580 Å, I = 48
- (1 -1 0), d = 2.261 Å, I = 34
- (2 1 1), d = 2.132 Å, I = 54
- (2 0 -1), d = 1.701 Å, I = 28
- (1 0 -3), d = 1.642 Å, I = 25
- (1 1 4), d = 1.611 Å, I = 21
- (2 -1 2), d = 1.365 Å, I = 14

```
data_BiPt
_chemical_formula_sum 'Bi2 Pt2'
_symmetry_space_group_name_H-M 'P -1'
_symmetry_Int_Tables_number 2
_cell_length_a 4.269
_cell_length_b 4.277
_cell_length_c 6.470
_cell_angle_alpha 72.18
_cell_angle_beta 72.19
_cell_angle_gamma 63.90
loop_
_symmetry_equiv_pos_as_xyz
'x,y,z'
'-x,-y,-z'
loop_
_atom_site_label
_atom_site_fract_x
_atom_site_fract_y
_atom_site_fract_z
Bi1 0.113 0.115 0.210
Pt1 0.294 0.293 0.601
```


Structure and calculated powder X-ray diffraction pattern of Bi3Pt (a cell relaxed with GGA-PBE; Cu Kα (weighted mean of Kα1 and Kα2)).
Neutral-atom scattering factors, no anomalous dispersion.

Largest 10 diffraction maxima, sorted by position, 2θ = 10–90°:
- (1 1 2), d = 3.000 Å, I = 78
- (2 3 1), d = 2.900 Å, I = 100
- (3 3 0), d = 2.761 Å, I = 67
- (1 4 1), d = 2.599 Å, I = 88
- (2 2 2), d = 2.541 Å, I = 38
- (1 3 2), d = 2.429 Å, I = 27
- (5 1 0), d = 2.297 Å, I = 24
- (5 2 1), d = 2.060 Å, I = 30
- (3 2 3), d = 1.790 Å, I = 32
- (5 0 3), d = 1.582 Å, I = 25

```
data_Bi3Pt
_chemical_formula_sum 'Bi24 Pt8'
_symmetry_space_group_name_H-M 'I -4'
_symmetry_Int_Tables_number 82
_cell_length_a 11.712
_cell_length_b 11.712
_cell_length_c 6.438
_cell_angle_alpha 90.00
_cell_angle_beta 90.00
_cell_angle_gamma 90.00
loop_
_symmetry_equiv_pos_as_xyz
'x,y,z'
'y,-x,-z'
'-x,-y,z'
'-y,x,-z'
'x+1/2,y+1/2,z+1/2'
'y+1/2,-x+1/2,-z+1/2'
'-x+1/2,-y+1/2,z+1/2'
'-y+1/2,x+1/2,-z+1/2'
loop_
_atom_site_label
_atom_site_fract_x
_atom_site_fract_y
_atom_site_fract_z
Bi1 0.003 0.363 0.471
Bi2 0.100 0.116 0.747
Bi3 0.185 0.791 0.800
Pt1 0.005 0.290 0.041
```